Structure and calculated X-ray diffraction stick pattern of Li8Hg2Pb (a crystal structure in OQMD, relaxed with GGA-PBE; copper Kα).

Crystal structure
a b c (Å): 4.559 4.559 10.778
angles (deg): 102.11 102.11 60.04
Positions (direct):
Li: 0.091 0.091 0.272
Li: 0.183 0.183 0.548
Li: 0.276 0.276 0.828
Li: 0.365 0.365 0.094
Li: 0.635 0.635 0.906
Li: 0.724 0.724 0.172
Li: 0.817 0.817 0.452
Li: 0.909 0.909 0.728
Hg: 0.452 0.452 0.356
Hg: 0.548 0.548 0.644
Pb: 0.000 0.000 0.000

Top 6 peaks for 2θ = 10–90°, sorted by position:
2θ/deg	d_spacing	Rel. int.
23.23	3.829	100.0
25.25	3.527	34.2
30.16	2.963	31.9
38.96	2.312	40.8
39.53	2.280	40.1
47.66	1.908	35.2

Structure and calculated X-ray diffraction stick pattern of DySnTe3Au (a crystal structure in OQMD, relaxed with GGA-PBE; copper Kα).

Crystal structure
a b c (Å): 11.144 4.272 14.737
angles (deg): 90.00 90.00 90.00
Positions (direct):
Dy: 0.014 0.250 0.246
Dy: 0.486 0.750 0.746
Dy: 0.514 0.250 0.254
Dy: 0.986 0.750 0.754
Sn: 0.233 0.750 0.531
Sn: 0.267 0.250 0.031
Sn: 0.733 0.750 0.969
Sn: 0.767 0.250 0.469
Te: 0.041 0.250 0.605
Te: 0.066 0.750 0.098
Te: 0.238 0.750 0.846
Te: 0.262 0.250 0.346
Te: 0.434 0.250 0.598
Te: 0.459 0.750 0.105
Te: 0.541 0.250 0.895
Te: 0.566 0.750 0.402
Te: 0.738 0.750 0.654
Te: 0.762 0.250 0.154
Te: 0.934 0.250 0.902
Te: 0.959 0.750 0.395
Au: 0.245 0.250 0.720
Au: 0.255 0.750 0.220
Au: 0.745 0.250 0.780
Au: 0.755 0.750 0.280

Top 6 peaks for 2θ = 10–90°, sorted by position:
2θ/deg	d_spacing	Rel. int.
12.01	7.369	22.0
28.83	3.096	36.2
32.09	2.789	100.0
40.57	2.224	14.1
42.32	2.135	21.3
44.20	2.049	11.5

Structure and calculated X-ray diffraction stick pattern of La2Pd2Cl (a crystal structure in OQMD, relaxed with GGA-PBE; copper Kα).

Crystal structure
a b c (Å): 4.479 4.479 7.895
angles (deg): 90.00 90.00 120.00
Positions (direct):
La: 0.000 0.000 0.230
La: 0.000 0.000 0.770
Pd: 0.333 0.667 0.000
Pd: 0.667 0.333 0.000
Cl: 0.667 0.333 0.500

Top 6 peaks for 2θ = 10–90°, sorted by position:
2θ/deg	d_spacing	Rel. int.
11.21	7.895	60.1
32.36	2.767	100.0
40.27	2.239	48.9
52.57	1.741	24.9
62.75	1.481	22.6
68.24	1.374	22.4

Structure and calculated X-ray diffraction stick pattern of GdBiO3 (a crystal structure in OQMD, relaxed with GGA-PBE; copper Kα).

Crystal structure
a b c (Å): 6.119 8.602 5.831
angles (deg): 90.00 90.00 90.00
Positions (direct):
Gd: 0.054 0.250 0.015
Gd: 0.446 0.750 0.515
Gd: 0.554 0.250 0.485
Gd: 0.946 0.750 0.985
Bi: 0.000 0.000 0.500
Bi: 0.000 0.500 0.500
Bi: 0.500 0.000 0.000
Bi: 0.500 0.500 0.000
O: 0.101 0.750 0.332
O: 0.179 0.583 0.826
O: 0.179 0.917 0.826
O: 0.321 0.083 0.326
O: 0.321 0.417 0.326
O: 0.399 0.250 0.832
O: 0.601 0.750 0.168
O: 0.679 0.583 0.674
O: 0.679 0.917 0.674
O: 0.821 0.083 0.174
O: 0.821 0.417 0.174
O: 0.899 0.250 0.668

Top 6 peaks for 2θ = 10–90°, sorted by position:
2θ/deg	d_spacing	Rel. int.
29.19	3.059	21.5
29.65	3.013	100.0
30.67	2.915	21.3
42.85	2.111	17.9
52.02	1.758	26.9
53.89	1.701	23.2

Structure and calculated X-ray diffraction stick pattern of AcAl4Ag8 (a crystal structure in OQMD, relaxed with GGA-PBE; copper Kα).

Crystal structure
a b c (Å): 7.245 7.245 7.245
angles (deg): 97.94 97.94 136.37
Positions (direct):
Ac: 0.000 0.000 0.000
Al: 0.000 0.000 0.500
Al: 0.000 0.500 0.000
Al: 0.500 0.000 0.000
Al: 0.500 0.500 0.500
Ag: 0.000 0.348 0.348
Ag: 0.000 0.652 0.652
Ag: 0.278 0.500 0.778
Ag: 0.348 0.000 0.348
Ag: 0.500 0.278 0.778
Ag: 0.500 0.722 0.222
Ag: 0.652 0.000 0.652
Ag: 0.722 0.500 0.222

Top 6 peaks for 2θ = 10–90°, sorted by position:
2θ/deg	d_spacing	Rel. int.
32.78	2.732	48.2
33.28	2.692	39.2
37.83	2.378	32.3
37.98	2.369	100.0
38.42	2.343	24.8
68.42	1.371	26.1

Structure and calculated X-ray diffraction stick pattern of DyHoSiGeOs (a crystal structure in OQMD, relaxed with GGA-PBE; copper Kα).

Crystal structure
a b c (Å): 5.746 5.746 10.117
angles (deg): 116.32 116.32 43.14
Positions (direct):
Dy: 0.007 0.007 0.174
Dy: 0.993 0.993 0.826
Ho: 0.185 0.185 0.616
Ho: 0.815 0.815 0.384
Si: 0.356 0.356 0.940
Si: 0.644 0.644 0.060
Ge: 0.487 0.487 0.625
Ge: 0.513 0.513 0.375
Os: 0.267 0.267 0.124
Os: 0.733 0.733 0.876

Top 6 peaks for 2θ = 10–90°, sorted by position:
2θ/deg	d_spacing	Rel. int.
27.51	3.243	30.5
33.60	2.668	100.0
36.96	2.432	50.1
40.58	2.223	22.8
40.84	2.209	30.5
42.80	2.113	34.0

Structure and calculated X-ray diffraction stick pattern of Pr4C2N5 (a crystal structure in OQMD, relaxed with GGA-PBE; copper Kα).

Crystal structure
a b c (Å): 6.430 6.430 9.026
angles (deg): 128.71 128.71 32.92
Positions (direct):
Pr: 0.078 0.078 0.336
Pr: 0.312 0.312 0.888
Pr: 0.688 0.688 0.112
Pr: 0.922 0.922 0.664
C: 0.424 0.424 0.405
C: 0.576 0.576 0.595
N: 0.000 0.000 0.000
N: 0.309 0.309 0.404
N: 0.393 0.393 0.223
N: 0.607 0.607 0.777
N: 0.691 0.691 0.596

Top 6 peaks for 2θ = 10–90°, sorted by position:
2θ/deg	d_spacing	Rel. int.
28.98	3.081	40.3
29.33	3.045	51.2
30.40	2.940	37.0
32.44	2.760	100.0
33.34	2.688	83.1
49.53	1.840	34.1

Structure and calculated X-ray diffraction stick pattern of RbIn6Ga3Co2 (a crystal structure in OQMD, relaxed with GGA-PBE; copper Kα).

Crystal structure
a b c (Å): 8.475 8.475 4.222
angles (deg): 90.00 90.00 120.00
Positions (direct):
Rb: 0.000 0.000 0.000
In: 0.208 0.416 0.500
In: 0.208 0.792 0.500
In: 0.416 0.208 0.500
In: 0.584 0.792 0.500
In: 0.792 0.208 0.500
In: 0.792 0.584 0.500
Ga: 0.000 0.500 0.000
Ga: 0.500 0.000 0.000
Ga: 0.500 0.500 0.000
Co: 0.333 0.667 0.000
Co: 0.667 0.333 0.000

Top 6 peaks for 2θ = 10–90°, sorted by position:
2θ/deg	d_spacing	Rel. int.
12.06	7.340	21.8
32.31	2.771	100.0
38.84	2.318	60.2
42.69	2.118	49.2
42.84	2.111	23.6
62.06	1.496	16.9

Structure and calculated X-ray diffraction stick pattern of LaSmSi3Au (a crystal structure in OQMD, relaxed with GGA-PBE; copper Kα).

Crystal structure
a b c (Å): 8.407 8.302 6.018
angles (deg): 69.82 67.96 42.21
Positions (direct):
La: 0.243 0.757 0.243
La: 0.757 0.243 0.757
Sm: 0.250 0.250 0.250
Sm: 0.750 0.750 0.750
Si: 0.163 0.671 0.837
Si: 0.165 0.165 0.835
Si: 0.329 0.837 0.671
Si: 0.671 0.163 0.329
Si: 0.835 0.835 0.165
Si: 0.837 0.329 0.163
Au: 0.333 0.333 0.667
Au: 0.667 0.667 0.333

Top 6 peaks for 2θ = 10–90°, sorted by position:
2θ/deg	d_spacing	Rel. int.
23.74	3.747	23.4
32.29	2.773	100.0
43.61	2.076	38.6
55.29	1.662	21.6
61.73	1.503	27.3
72.93	1.297	19.0

Structure and calculated X-ray diffraction stick pattern of YPuCl6 (a crystal structure in OQMD, relaxed with GGA-PBE; copper Kα).

Crystal structure
a b c (Å): 7.017 12.135 6.455
angles (deg): 90.00 111.46 90.00
Positions (direct):
Y: 0.000 0.000 0.000
Y: 0.500 0.500 0.000
Pu: 0.000 0.332 0.000
Pu: 0.500 0.832 0.000
Cl: 0.224 0.162 0.245
Cl: 0.237 0.991 0.760
Cl: 0.248 0.346 0.759
Cl: 0.252 0.846 0.241
Cl: 0.263 0.491 0.240
Cl: 0.276 0.662 0.755
Cl: 0.724 0.662 0.245
Cl: 0.737 0.491 0.760
Cl: 0.748 0.846 0.759
Cl: 0.752 0.346 0.241
Cl: 0.763 0.991 0.240
Cl: 0.776 0.162 0.755

Top 6 peaks for 2θ = 10–90°, sorted by position:
2θ/deg	d_spacing	Rel. int.
14.75	6.007	100.0
15.41	5.750	72.3
17.58	5.045	51.3
25.89	3.441	73.4
32.40	2.764	77.5
44.78	2.024	43.8

Structure and calculated X-ray diffraction stick pattern of ThBr4 (a crystal structure in OQMD, relaxed with GGA-PBE; copper Kα).

Crystal structure
a b c (Å): 8.414 8.414 8.414
angles (deg): 131.53 131.53 70.97
Positions (direct):
Th: 0.375 0.125 0.250
Th: 0.625 0.875 0.750
Br: 0.035 0.733 0.866
Br: 0.233 0.867 0.698
Br: 0.332 0.465 0.198
Br: 0.367 0.168 0.634
Br: 0.633 0.832 0.366
Br: 0.668 0.535 0.802
Br: 0.767 0.133 0.302
Br: 0.965 0.267 0.134

Top 6 peaks for 2θ = 10–90°, sorted by position:
2θ/deg	d_spacing	Rel. int.
14.36	6.168	100.0
22.35	3.977	56.0
29.64	3.013	68.7
31.91	2.805	39.4
35.07	2.559	47.3
43.48	2.081	37.8

Structure and calculated X-ray diffraction stick pattern of CdTc2Os (a crystal structure in OQMD, relaxed with GGA-PBE; copper Kα).

Crystal structure
a b c (Å): 6.304 6.304 6.304
angles (deg): 90.00 90.00 90.00
Positions (direct):
Cd: 0.000 0.000 0.000
Cd: 0.000 0.500 0.500
Cd: 0.500 0.000 0.500
Cd: 0.500 0.500 0.000
Tc: 0.000 0.000 0.500
Tc: 0.000 0.500 0.000
Tc: 0.250 0.250 0.250
Tc: 0.250 0.750 0.750
Tc: 0.500 0.000 0.000
Tc: 0.500 0.500 0.500
Tc: 0.750 0.250 0.750
Tc: 0.750 0.750 0.250
Os: 0.250 0.250 0.750
Os: 0.250 0.750 0.250
Os: 0.750 0.250 0.250
Os: 0.750 0.750 0.750

Top 6 peaks for 2θ = 10–90°, sorted by position:
2θ/deg	d_spacing	Rel. int.
24.46	3.640	7.1
40.47	2.229	100.0
47.86	1.901	3.9
58.57	1.576	16.6
73.61	1.287	33.4
87.54	1.114	10.9